Pm3VO7: theoretical X-ray diffraction stick pattern (Cu Kα X-rays), based on a PBE+U-relaxed structure.
Kinematic intensities with the Lorentz-polarization factor, no thermal factor.

Most intense lines, 10 to 90 degrees two-theta, sorted by position:
- hkl 1 0 0, 14.19°, d 6.243, rel. 11
- hkl 0 0 2, 28.55°, d 3.127, rel. 49
- hkl 2 0 0, 28.65°, d 3.116, rel. 49
- hkl 1 2 -1, 28.87°, d 3.093, rel. 100
- hkl 1 2 1, 33.12°, d 2.704, rel. 42
- hkl 2 0 -2, 33.64°, d 2.664, rel. 19
- hkl 0 4 0, 47.88°, d 1.900, rel. 43
- hkl 3 2 -1, 48.00°, d 1.895, rel. 26
- hkl 2 4 0, 56.74°, d 1.622, rel. 26
- hkl 3 2 -3, 57.24°, d 1.609, rel. 17

Structure:
a = 6.5631 Å, b = 7.5958 Å, c = 6.5859 Å
α = 90.00°, β = 108.27°, γ = 90.00°
Positions (direct):
Pm (0.0029, 0.0000, 0.4627)
Pm (0.4536, 0.7372, 0.4541)
Pm (0.4641, 0.4772, 0.0025)
Pm (0.5359, 0.9772, 0.9975)
Pm (0.5464, 0.2372, 0.5459)
Pm (0.9971, 0.5000, 0.5373)
V (0.0099, 0.2637, 0.9992)
V (0.9901, 0.7637, 0.0008)
O (0.0389, 0.2785, 0.2825)
O (0.0591, 0.4852, 0.9436)
O (0.0739, 0.7183, 0.3188)
O (0.2858, 0.1969, 0.0378)
O (0.3118, 0.7582, 0.0743)
O (0.3631, 0.4868, 0.6376)
O (0.3711, 0.9878, 0.6301)
O (0.6289, 0.4878, 0.3699)
O (0.6369, 0.9868, 0.3624)
O (0.6882, 0.2582, 0.9257)
O (0.7142, 0.6969, 0.9622)
O (0.9261, 0.2183, 0.6812)
O (0.9409, 0.9852, 0.0564)
O (0.9611, 0.7785, 0.7175)